This entry pairs a crystal structure of ThNbMoC3 with its simulated PXRD pattern. Radiation: λ = 1.5418 Å (Cu Kα). Structure: a DFT-relaxed cell (PBE, Alexandria).
Intensities are scaled so that the largest is 100.

Structure:
a b c (Å): 5.7366 3.3372 8.5068
angles (deg): 90.00 102.10 90.00
Atoms (fractional coordinates):
Th1 0.1413 0.2500 0.1965
Th2 0.8587 0.7500 0.8035
Nb1 0.2702 0.7500 0.5479
Nb2 0.7298 0.2500 0.4521
Mo1 0.3808 0.2500 0.8640
Mo2 0.6192 0.7500 0.1360
C1 0.0729 0.2500 0.6542
C2 0.2670 0.7500 0.9806
C3 0.4659 0.7500 0.3446
C4 0.5341 0.2500 0.6554
C5 0.7330 0.2500 0.0194
C6 0.9271 0.7500 0.3458

Principal peaks in the range 2θ = 10–90°, in order of rising 2θ:
d/Å  2θ/deg  intensity
3.097  28.8  24
3.049  29.3  23
2.844  31.5  51
2.773  32.3  38
2.723  32.9  27
2.626  34.1  97
2.489  36.1  100
1.765  51.8  19
1.669  55.0  18
1.430  65.2  23

=====

This entry pairs a crystal structure of UNbMoC3 with its simulated PXRD pattern. Radiation: λ = 1.5418 Å (Cu Kα). Structure: a DFT-relaxed cell (PBE, Alexandria).
Intensities are scaled so that the largest is 100.

Structure:
a b c (Å): 5.5273 3.1865 8.4934
angles (deg): 90.00 102.52 90.00
Atoms (fractional coordinates):
U1 0.1473 0.2500 0.1951
U2 0.8527 0.7500 0.8049
Nb1 0.2684 0.7500 0.5534
Nb2 0.7316 0.2500 0.4466
Mo1 0.3766 0.2500 0.8663
Mo2 0.6234 0.7500 0.1337
C1 0.0589 0.2500 0.6656
C2 0.2395 0.7500 0.9901
C3 0.4545 0.7500 0.3410
C4 0.5455 0.2500 0.6590
C5 0.7605 0.2500 0.0099
C6 0.9411 0.7500 0.3344

Principal peaks in the range 2θ = 10–90°, in order of rising 2θ:
d/Å  2θ/deg  intensity
2.989  29.9  22
2.974  30.0  23
2.764  32.4  34
2.746  32.6  57
2.710  33.1  27
2.523  35.6  94
2.414  37.2  100
1.848  49.3  23
1.738  52.7  19
1.594  57.9  24

=====

This entry pairs a crystal structure of Zr2NbMoC4 with its simulated PXRD pattern. Radiation: λ = 1.5418 Å (Cu Kα). Structure: a DFT-relaxed cell (PBE, Alexandria).
Intensities are scaled so that the largest is 100.

Structure:
a b c (Å): 10.6987 10.6987 10.6987
angles (deg): 17.43 17.43 17.43
Atoms (fractional coordinates):
Zr1 0.0000 0.0000 0.0000
Zr2 0.2464 0.2464 0.2464
Nb1 0.7518 0.7518 0.7518
Mo1 0.4973 0.4973 0.4973
C1 0.1255 0.1255 0.1255
C2 0.3782 0.3782 0.3782
C3 0.6232 0.6232 0.6232
C4 0.8685 0.8685 0.8685

Principal peaks in the range 2θ = 10–90°, in order of rising 2θ:
d/Å  2θ/deg  intensity
2.646  33.9  99
2.633  34.0  32
2.288  39.4  100
1.621  56.8  33
1.615  57.0  31
1.381  67.9  39
1.377  68.1  12
1.323  71.3  16
1.317  71.7  5
1.144  84.7  10

=====

This entry pairs a crystal structure of Nd2MoC2 with its simulated PXRD pattern. Radiation: λ = 1.5418 Å (Cu Kα). Structure: a DFT-relaxed cell (PBE, Alexandria).
Intensities are scaled so that the largest is 100.

Structure:
a b c (Å): 5.8397 5.8397 10.4098
angles (deg): 90.00 90.00 90.00
Atoms (fractional coordinates):
Nd1 0.1978 0.1978 0.1555
Nd2 0.1978 0.1978 0.8445
Nd3 0.3022 0.6978 0.3445
Nd4 0.3022 0.6978 0.6555
Nd5 0.6978 0.3022 0.3445
Nd6 0.6978 0.3022 0.6555
Nd7 0.8022 0.8022 0.1555
Nd8 0.8022 0.8022 0.8445
Mo1 0.1752 0.1752 0.5000
Mo2 0.3248 0.6752 0.0000
Mo3 0.6752 0.3248 0.0000
Mo4 0.8248 0.8248 0.5000
C1 0.0000 0.0000 0.3554
C2 0.0000 0.0000 0.6446
C3 0.0000 0.5000 0.0000
C4 0.0000 0.5000 0.5000
C5 0.5000 0.0000 0.0000
C6 0.5000 0.0000 0.5000
C7 0.5000 0.5000 0.1446
C8 0.5000 0.5000 0.8554

Principal peaks in the range 2θ = 10–90°, in order of rising 2θ:
d/Å  2θ/deg  intensity
2.983  30.0  20
2.920  30.6  41
2.657  33.7  100
2.612  34.3  49
2.065  43.9  12
1.698  54.0  27
1.468  63.4  16
1.445  64.5  14
1.416  66.0  16
1.097  89.3  12

=====

This entry pairs a crystal structure of Ni2Mo6C with its simulated PXRD pattern. Radiation: λ = 1.5418 Å (Cu Kα). Structure: a DFT-relaxed cell (PBE, Alexandria).
Intensities are scaled so that the largest is 100.

Structure:
a b c (Å): 5.1920 6.1195 9.3741
angles (deg): 90.00 122.57 90.00
Atoms (fractional coordinates):
Ni1 0.2028 0.1049 0.2529
Ni2 0.2028 0.3951 0.7529
Ni3 0.7972 0.6049 0.2471
Ni4 0.7972 0.8951 0.7471
Mo1 0.1042 0.1873 0.9507
Mo2 0.1042 0.3127 0.4507
Mo3 0.2923 0.6930 0.9546
Mo4 0.2923 0.8070 0.4546
Mo5 0.3270 0.0009 0.7368
Mo6 0.3270 0.4991 0.2368
Mo7 0.6730 0.5009 0.7632
Mo8 0.6730 0.9991 0.2632
Mo9 0.7077 0.1930 0.5454
Mo10 0.7077 0.3070 0.0454
Mo11 0.8958 0.6873 0.5493
Mo12 0.8958 0.8127 0.0493
C1 0.5000 0.0000 0.0000
C2 0.5000 0.5000 0.5000

Principal peaks in the range 2θ = 10–90°, in order of rising 2θ:
d/Å  2θ/deg  intensity
2.419  37.2  100
2.389  37.6  38
2.298  39.2  33
2.276  39.6  29
2.205  40.9  38
2.185  41.3  39
2.060  44.0  28
2.029  44.7  31
1.996  45.4  29
1.899  47.9  39

=====

This entry pairs a crystal structure of Ni6Mo6C with its simulated PXRD pattern. Radiation: λ = 1.5418 Å (Cu Kα). Structure: a DFT-relaxed cell (PBE, Alexandria).
Intensities are scaled so that the largest is 100.

Structure:
a b c (Å): 7.7155 7.7155 7.7155
angles (deg): 60.00 60.00 60.00
Atoms (fractional coordinates):
Ni1 0.0000 0.0000 0.0000
Ni2 0.0000 0.0000 0.5000
Ni3 0.0000 0.5000 0.0000
Ni4 0.1260 0.7913 0.7913
Ni5 0.2087 0.2087 0.2087
Ni6 0.2087 0.2087 0.8740
Ni7 0.2087 0.8740 0.2087
Ni8 0.5000 0.0000 0.0000
Ni9 0.7913 0.1260 0.7913
Ni10 0.7913 0.7913 0.1260
Ni11 0.7913 0.7913 0.7913
Ni12 0.8740 0.2087 0.2087
Mo1 0.1765 0.1765 0.5735
Mo2 0.1765 0.5735 0.1765
Mo3 0.1765 0.5735 0.5735
Mo4 0.4265 0.4265 0.8235
Mo5 0.4265 0.8235 0.4265
Mo6 0.4265 0.8235 0.8235
Mo7 0.5735 0.1765 0.1765
Mo8 0.5735 0.1765 0.5735
Mo9 0.5735 0.5735 0.1765
Mo10 0.8235 0.4265 0.4265
Mo11 0.8235 0.4265 0.8235
Mo12 0.8235 0.8235 0.4265
C1 0.3750 0.3750 0.3750
C2 0.6250 0.6250 0.6250

Principal peaks in the range 2θ = 10–90°, in order of rising 2θ:
d/Å  2θ/deg  intensity
2.728  32.8  8
2.503  35.9  14
2.227  40.5  36
2.100  43.1  100
1.929  47.1  37
1.421  65.7  9
1.333  70.7  8
1.286  73.7  32
1.260  75.4  9
1.097  89.3  16

=====

This entry pairs a crystal structure of Ni3Mo3C with its simulated PXRD pattern. Radiation: λ = 1.5418 Å (Cu Kα). Structure: a DFT-relaxed cell (PBE, Alexandria).
Intensities are scaled so that the largest is 100.

Structure:
a b c (Å): 7.8297 7.8297 7.8297
angles (deg): 60.00 60.00 60.00
Atoms (fractional coordinates):
Ni1 0.0000 0.0000 0.0000
Ni2 0.0000 0.0000 0.5000
Ni3 0.0000 0.5000 0.0000
Ni4 0.1255 0.7915 0.7915
Ni5 0.2085 0.2085 0.2085
Ni6 0.2085 0.2085 0.8745
Ni7 0.2085 0.8745 0.2085
Ni8 0.5000 0.0000 0.0000
Ni9 0.7915 0.1255 0.7915
Ni10 0.7915 0.7915 0.1255
Ni11 0.7915 0.7915 0.7915
Ni12 0.8745 0.2085 0.2085
Mo1 0.1723 0.1723 0.5777
Mo2 0.1723 0.5777 0.1723
Mo3 0.1723 0.5777 0.5777
Mo4 0.4223 0.4223 0.8277
Mo5 0.4223 0.8277 0.4223
Mo6 0.4223 0.8277 0.8277
Mo7 0.5777 0.1723 0.1723
Mo8 0.5777 0.1723 0.5777
Mo9 0.5777 0.5777 0.1723
Mo10 0.8277 0.4223 0.4223
Mo11 0.8277 0.4223 0.8277
Mo12 0.8277 0.8277 0.4223
C1 0.0000 0.5000 0.5000
C2 0.5000 0.0000 0.5000
C3 0.5000 0.5000 0.0000
C4 0.5000 0.5000 0.5000

Principal peaks in the range 2θ = 10–90°, in order of rising 2θ:
d/Å  2θ/deg  intensity
2.540  35.3  13
2.260  39.9  40
2.131  42.4  100
1.957  46.4  49
1.845  49.4  7
1.442  64.7  11
1.353  69.5  8
1.305  72.4  32
1.279  74.2  9
1.113  87.7  16